This entry pairs a crystal structure of NaTlHgCl6 with its computed powder XRD pattern. Radiation: CuKα. Structure: the GGA-PBE geometry in Alexandria.
No peak broadening, texture or thermal motion is included.

Structural model:
```
18
Lattice="6.8325 0.0000 0.0000 -3.4162 5.9171 0.0000 0.0000 0.0000 12.5792" Properties=species:S:1:pos:R:3 pbc="T T T"
Na 0.0000 0.0000 0.0000
Na 0.0000 0.0000 6.2896
Tl 0.0000 3.9447 3.1448
Tl 3.4162 1.9724 9.4344
Hg 0.0000 3.9447 9.4344
Hg 3.4162 1.9724 3.1448
Cl -1.1682 2.1217 1.6349
Cl -2.1628 3.8445 4.6547
Cl 1.1682 2.1217 4.6547
Cl -0.9947 5.8679 1.6349
Cl 2.4216 0.0492 7.9245
Cl 1.2534 2.0726 10.9443
Cl 2.1628 3.8445 1.6349
Cl 0.9947 5.8679 4.6547
Cl 4.4109 0.0492 10.9443
Cl 2.2480 3.7953 7.9245
Cl 5.5791 2.0726 7.9245
Cl 4.5844 3.7953 10.9443
```

Main lines, by angle (5° ≤ 2θ ≤ 70°):
2θ (°)	d_spacing	I/Imax
14.08	6.290	84.4
14.97	5.917	53.9
20.61	4.310	73.1
26.08	3.416	40.0
29.76	3.002	100.0
38.93	2.314	80.0
42.92	2.107	22.7
46.00	1.973	42.8
48.36	1.882	23.6
51.12	1.787	24.3